Theoretical PXRD pattern of PrZnFe2O6 for a wavelength of 1.5418 Å, from a DFT-relaxed cell (GGA+U, Alexandria).
No peak broadening, texture or thermal motion is included.

Peak list (6 most intense, 2θ = 5–70°, by intensity)
- 2θ 32.97, intensity 100, hkl 2 1 1
- 2θ 58.47, intensity 25, hkl 4 2 0
- 2θ 47.60, intensity 24, hkl 0 2 2
- 2θ 32.66, intensity 22, hkl 0 2 0
- 2θ 59.75, intensity 22, hkl 2 1 3
- 2θ 33.65, intensity 21, hkl 0 0 2

Crystal structure
a b c (Å): 7.7258 5.4844 5.3265
angles (deg): 90.00 90.00 90.00
Positions (direct):
Pr 0.0000 0.2070 0.0000
Pr 0.5000 0.7930 0.5000
Zn 0.0000 0.7115 0.4719
Zn 0.5000 0.2885 0.9719
Fe 0.2505 0.2559 0.4885
Fe 0.2495 0.7441 0.9885
Fe 0.7495 0.2559 0.4885
Fe 0.7505 0.7441 0.9885
O 0.0000 0.2956 0.5682
O 0.0000 0.7732 0.8561
O 0.1913 0.9464 0.2975
O 0.1958 0.4735 0.2097
O 0.3042 0.5265 0.7097
O 0.3087 0.0536 0.7975
O 0.5000 0.2268 0.3561
O 0.5000 0.7044 0.0682
O 0.6913 0.0536 0.7975
O 0.6958 0.5265 0.7097
O 0.8042 0.4735 0.2097
O 0.8087 0.9464 0.2975